The following is a simulated X-ray powder pattern of Mg3V4O8. It was derived from a structure optimized by DFT (GGA+U), using λ = 1.5418 Å (Cu Kα).

Main lines, sorted by position (2θ from 15° to 90°):
- d 4.965, 17.9 deg, intensity 100
- d 2.485, 36.2 deg, intensity 81
- d 2.161, 41.8 deg, intensity 100
- d 2.153, 42.0 deg, intensity 98
- d 2.141, 42.2 deg, intensity 96
- d 1.528, 60.6 deg, intensity 28
- d 1.522, 60.9 deg, intensity 81
- d 1.518, 61.0 deg, intensity 54

Structure:
```
Mg3V4O8
1.0
4.3058 -4.2827 0.0000
4.3058 4.2827 0.0000
-4.2920 0.0000 4.3218
Mg V O
3 4 8
direct
0.0000 0.0000 0.0000
0.0000 0.5000 0.0000
0.5000 0.0000 0.0000
0.0000 0.0000 0.5000
0.0000 0.5000 0.5000
0.5000 0.0000 0.5000
0.5000 0.5000 0.0000
0.2350 0.7650 0.5000
0.2385 0.2385 0.9794
0.2393 0.2393 0.5080
0.2512 0.7488 0.0000
0.7488 0.2512 0.0000
0.7607 0.7607 0.4920
0.7615 0.7615 0.0206
0.7650 0.2350 0.5000
```